(1)
Theoretical X-ray diffraction stick pattern of NaCoCSO7 for a wavelength of 1.5418 Å, from a DFT-relaxed cell (PBE+U, the Materials Project).
Kinematic intensities with the Lorentz-polarization factor, no thermal factor.

Most intense lines, 2θ from 5° to 70°, in order of rising 2θ:
Position (°2θ)	Rel. int.
9.9	100
16.6	44
19.6	20
20.2	24
21.8	19
24.3	17
25.9	30
26.8	55
34.8	15
42.0	19

Structure:
```
NaCoCSO7
1.0
5.160 0.000 0.000
0.000 6.646 0.000
-0.322 0.000 8.940
Na Co C S O
2 2 2 2 14
direct
0.234 0.000 0.268 Na
0.766 0.500 0.732 Na
0.217 0.215 0.844 Co
0.783 0.715 0.156 Co
0.276 0.237 0.583 C
0.724 0.737 0.417 C
0.277 0.725 0.928 S
0.723 0.225 0.072 S
0.050 0.233 0.647 O
0.139 0.736 0.072 O
0.196 0.544 0.841 O
0.222 0.902 0.833 O
0.309 0.234 0.446 O
0.436 0.210 0.035 O
0.463 0.240 0.688 O
0.537 0.740 0.312 O
0.564 0.710 0.965 O
0.691 0.734 0.554 O
0.778 0.402 0.167 O
0.804 0.044 0.159 O
0.861 0.236 0.928 O
0.950 0.733 0.353 O
```

(2)
Theoretical X-ray diffraction stick pattern of Na4Co2C4SO16 for a wavelength of 1.5418 Å, from a DFT-relaxed cell (PBE+U, the Materials Project).
Kinematic intensities with the Lorentz-polarization factor, no thermal factor.

Most intense lines, 2θ from 5° to 70°, in order of rising 2θ:
Position (°2θ)	Rel. int.
11.0	100
17.8	28
18.0	27
20.9	67
21.2	77
33.4	42
33.5	50
33.7	27
36.1	33
36.5	29

Structure:
```
Na4Co2C4SO16
1.0
9.780 0.000 0.000
-0.033 9.845 0.000
-4.861 -4.826 7.085
Na Co C S O
8 4 8 2 32
direct
0.000 0.000 0.000 Na
0.001 0.999 0.586 Na
0.324 0.814 0.079 Na
0.562 0.557 0.558 Na
0.566 0.995 0.574 Na
0.736 0.256 0.076 Na
0.738 0.812 0.078 Na
0.993 0.568 0.573 Na
0.155 0.409 0.322 Co
0.155 0.907 0.328 Co
0.156 0.405 0.826 Co
0.651 0.406 0.820 Co
0.010 0.192 0.394 C
0.295 0.622 0.250 C
0.364 0.192 0.748 C
0.367 0.194 0.398 C
0.367 0.548 0.747 C
0.935 0.617 0.246 C
0.936 0.263 0.895 C
0.942 0.624 0.895 C
0.529 0.031 0.074 S
0.781 0.783 0.576 S
0.004 0.307 0.361 O
0.019 0.222 0.541 O
0.044 0.585 0.361 O
0.047 0.259 0.860 O
0.052 0.768 0.035 O
0.252 0.222 0.284 O
0.253 0.052 0.607 O
0.255 0.557 0.784 O
0.289 0.588 0.103 O
0.298 0.510 0.286 O
0.307 0.768 0.366 O
0.332 0.304 0.857 O
0.336 0.543 0.601 O
0.344 0.972 0.952 O
0.345 0.046 0.361 O
0.507 0.309 0.543 O
0.514 0.219 0.786 O
0.514 0.555 0.864 O
0.587 0.214 0.195 O
0.587 0.962 0.191 O
0.599 0.976 0.957 O
0.718 0.843 0.701 O
0.722 0.851 0.459 O
0.724 0.600 0.460 O
0.789 0.260 0.783 O
0.795 0.596 0.862 O
0.796 0.503 0.099 O
0.963 0.764 0.284 O
0.966 0.259 0.038 O
0.968 0.844 0.701 O
0.975 0.513 0.785 O
0.999 0.047 0.273 O
```

(3)
Theoretical X-ray diffraction stick pattern of Na4Co2C4SO16 for a wavelength of 1.5418 Å, from a DFT-relaxed cell (PBE+U, the Materials Project).
Kinematic intensities with the Lorentz-polarization factor, no thermal factor.

Most intense lines, 2θ from 5° to 70°, in order of rising 2θ:
Position (°2θ)	Rel. int.
10.9	70
17.8	27
20.9	100
21.1	37
21.9	26
33.0	32
33.2	43
33.3	37
36.1	22
36.3	21

Structure:
```
Na4Co2C4SO16
1.0
0.000 7.019 7.059
6.977 0.000 7.059
6.977 7.019 0.000
Na Co C S O
8 4 8 2 32
direct
0.036 0.464 0.464 Na
0.215 0.215 0.785 Na
0.215 0.785 0.215 Na
0.215 0.785 0.785 Na
0.464 0.036 0.036 Na
0.785 0.215 0.215 Na
0.785 0.215 0.785 Na
0.785 0.785 0.215 Na
0.124 0.627 0.628 Co
0.620 0.628 0.627 Co
0.627 0.124 0.620 Co
0.628 0.620 0.124 Co
0.410 0.768 0.411 C
0.411 0.411 0.410 C
0.411 0.411 0.768 C
0.479 0.842 0.841 C
0.768 0.410 0.411 C
0.837 0.841 0.842 C
0.841 0.837 0.479 C
0.842 0.479 0.837 C
0.000 0.000 0.000 S
0.250 0.250 0.250 S
0.061 0.061 0.062 O
0.061 0.061 0.815 O
0.062 0.815 0.061 O
0.187 0.434 0.191 O
0.188 0.191 0.434 O
0.191 0.188 0.187 O
0.264 0.434 0.522 O
0.270 0.528 0.763 O
0.270 0.767 0.438 O
0.434 0.187 0.188 O
0.434 0.264 0.780 O
0.438 0.526 0.270 O
0.439 0.763 0.528 O
0.475 0.732 0.811 O
0.476 0.811 0.988 O
0.476 0.987 0.734 O
0.522 0.780 0.264 O
0.526 0.438 0.767 O
0.528 0.270 0.439 O
0.725 0.988 0.811 O
0.732 0.475 0.981 O
0.734 0.804 0.476 O
0.763 0.439 0.270 O
0.767 0.270 0.526 O
0.780 0.522 0.434 O
0.804 0.734 0.987 O
0.811 0.476 0.725 O
0.811 0.982 0.475 O
0.815 0.062 0.061 O
0.981 0.811 0.732 O
0.987 0.476 0.804 O
0.988 0.725 0.476 O
```

(4)
Theoretical X-ray diffraction stick pattern of Na6Co2C4SO16 for a wavelength of 1.5418 Å, from a DFT-relaxed cell (PBE+U, the Materials Project).
Kinematic intensities with the Lorentz-polarization factor, no thermal factor.

Most intense lines, 2θ from 5° to 70°, in order of rising 2θ:
Position (°2θ)	Rel. int.
11.0	27
21.1	100
33.3	96
36.3	77
38.1	24
42.9	20
46.4	22
57.0	33
57.5	21
65.4	16

Structure:
```
Na6Co2C4SO16
1.0
0.000 6.991 6.991
6.991 0.000 6.991
6.991 6.991 0.000
Na Co C S O
12 4 8 2 32
direct
0.091 0.091 0.659 Na
0.091 0.659 0.091 Na
0.091 0.659 0.659 Na
0.341 0.341 0.909 Na
0.341 0.909 0.341 Na
0.341 0.909 0.909 Na
0.659 0.091 0.091 Na
0.659 0.091 0.659 Na
0.659 0.659 0.091 Na
0.909 0.341 0.341 Na
0.909 0.341 0.909 Na
0.909 0.909 0.341 Na
0.000 0.500 0.500 Co
0.500 0.000 0.500 Co
0.500 0.500 0.000 Co
0.500 0.500 0.500 Co
0.281 0.281 0.281 C
0.281 0.281 0.658 C
0.281 0.658 0.281 C
0.342 0.719 0.719 C
0.658 0.281 0.281 C
0.719 0.342 0.719 C
0.719 0.719 0.342 C
0.719 0.719 0.719 C
0.125 0.125 0.125 S
0.875 0.875 0.875 S
0.063 0.063 0.063 O
0.063 0.063 0.311 O
0.063 0.311 0.063 O
0.139 0.302 0.660 O
0.139 0.400 0.302 O
0.139 0.660 0.400 O
0.302 0.139 0.400 O
0.302 0.400 0.660 O
0.302 0.660 0.139 O
0.311 0.063 0.063 O
0.340 0.600 0.861 O
0.340 0.698 0.600 O
0.340 0.861 0.698 O
0.400 0.139 0.660 O
0.400 0.302 0.139 O
0.400 0.660 0.302 O
0.600 0.340 0.698 O
0.600 0.698 0.861 O
0.600 0.861 0.340 O
0.660 0.139 0.302 O
0.660 0.302 0.400 O
0.660 0.400 0.139 O
0.689 0.937 0.937 O
0.698 0.340 0.861 O
0.698 0.600 0.340 O
0.698 0.861 0.600 O
0.861 0.340 0.600 O
0.861 0.600 0.698 O
0.861 0.698 0.340 O
0.937 0.689 0.937 O
0.937 0.937 0.689 O
0.937 0.937 0.937 O
```

(5)
Theoretical X-ray diffraction stick pattern of Na4Co2C4SO16 for a wavelength of 1.5418 Å, from a DFT-relaxed cell (PBE+U, the Materials Project).
Kinematic intensities with the Lorentz-polarization factor, no thermal factor.

Most intense lines, 2θ from 5° to 70°, in order of rising 2θ:
Position (°2θ)	Rel. int.
10.9	100
17.8	71
20.7	88
21.2	97
22.0	26
32.6	39
33.4	48
33.5	52
36.1	59
36.6	23

Structure:
```
Na4Co2C4SO16
1.0
0.000 6.964 7.146
6.932 0.000 7.146
6.932 6.964 0.000
Na Co C S O
8 4 8 2 32
direct
0.087 0.663 0.663 Na
0.088 0.662 0.088 Na
0.337 0.913 0.913 Na
0.338 0.912 0.338 Na
0.662 0.088 0.662 Na
0.663 0.087 0.087 Na
0.912 0.338 0.912 Na
0.913 0.337 0.337 Na
0.000 0.500 0.500 Co
0.500 0.000 0.500 Co
0.500 0.500 0.000 Co
0.500 0.500 0.500 Co
0.282 0.640 0.290 C
0.288 0.290 0.640 C
0.290 0.288 0.282 C
0.360 0.718 0.712 C
0.640 0.282 0.288 C
0.710 0.712 0.718 C
0.712 0.710 0.360 C
0.718 0.360 0.710 C
0.125 0.125 0.125 S
0.875 0.875 0.875 S
0.058 0.310 0.065 O
0.065 0.066 0.058 O
0.066 0.065 0.310 O
0.143 0.319 0.647 O
0.143 0.401 0.307 O
0.144 0.634 0.406 O
0.307 0.648 0.143 O
0.310 0.058 0.066 O
0.317 0.406 0.634 O
0.319 0.143 0.391 O
0.352 0.693 0.599 O
0.353 0.609 0.857 O
0.366 0.856 0.683 O
0.391 0.647 0.319 O
0.401 0.143 0.648 O
0.406 0.317 0.144 O
0.594 0.683 0.856 O
0.599 0.857 0.352 O
0.609 0.353 0.681 O
0.634 0.144 0.317 O
0.647 0.391 0.143 O
0.648 0.307 0.401 O
0.681 0.857 0.609 O
0.683 0.594 0.366 O
0.690 0.942 0.934 O
0.693 0.352 0.857 O
0.856 0.366 0.594 O
0.857 0.599 0.693 O
0.857 0.681 0.353 O
0.934 0.935 0.690 O
0.935 0.934 0.942 O
0.942 0.690 0.935 O
```

(6)
Theoretical X-ray diffraction stick pattern of Na2CoSiCO7 for a wavelength of 1.5418 Å, from a DFT-relaxed cell (PBE+U, the Materials Project).
Kinematic intensities with the Lorentz-polarization factor, no thermal factor.

Most intense lines, 2θ from 5° to 70°, in order of rising 2θ:
Position (°2θ)	Rel. int.
9.2	100
16.8	22
22.3	18
25.5	20
28.4	17
33.1	12
34.0	27
34.8	26
47.5	11
58.7	11

Structure:
```
Na2CoSiCO7
1.0
10.299 0.000 0.000
0.000 6.292 0.000
-5.002 0.000 9.653
Na Co Si C O
8 4 4 4 28
direct
0.004 0.001 0.243 Na
0.004 0.499 0.243 Na
0.493 0.504 0.238 Na
0.493 0.996 0.238 Na
0.507 0.004 0.762 Na
0.507 0.496 0.762 Na
0.996 0.501 0.757 Na
0.996 0.999 0.757 Na
0.216 0.750 0.625 Co
0.295 0.250 0.400 Co
0.705 0.750 0.600 Co
0.784 0.250 0.375 Co
0.120 0.250 0.570 Si
0.367 0.750 0.426 Si
0.633 0.250 0.574 Si
0.880 0.750 0.430 Si
0.164 0.250 0.056 C
0.329 0.750 0.925 C
0.671 0.250 0.075 C
0.836 0.750 0.944 C
0.048 0.750 0.445 O
0.087 0.250 0.121 O
0.102 0.250 0.924 O
0.119 0.250 0.419 O
0.191 0.750 0.877 O
0.204 0.037 0.661 O
0.204 0.463 0.661 O
0.284 0.532 0.340 O
0.284 0.968 0.340 O
0.304 0.250 0.124 O
0.381 0.750 0.583 O
0.385 0.750 0.839 O
0.416 0.750 0.055 O
0.470 0.250 0.570 O
0.530 0.750 0.430 O
0.584 0.250 0.945 O
0.615 0.250 0.161 O
0.619 0.250 0.417 O
0.696 0.750 0.876 O
0.716 0.032 0.660 O
0.716 0.468 0.660 O
0.796 0.537 0.339 O
0.796 0.963 0.339 O
0.809 0.250 0.123 O
0.881 0.750 0.581 O
0.898 0.750 0.076 O
0.913 0.750 0.879 O
0.952 0.250 0.555 O
```